No. 1
Diffraction record for K4UC3O11. The powder diffraction line list is calculated, not measured: it uses a structure optimized by DFT (GGA-PBE) and Cu Kα, 1.54184 Å.
Neutral-atom scattering factors, no anomalous dispersion.

Most intense lines, 15 to 90 degrees two-theta, in order of rising 2θ:
| 2theta | d [Å] | intensity |
| --- | --- | --- |
| 17.0 | 5.220 | 700 |
| 23.1 | 3.848 | 586 |
| 25.6 | 3.479 | 1000 |
| 26.9 | 3.309 | 611 |
| 27.8 | 3.213 | 576 |
| 28.8 | 3.102 | 581 |
| 32.4 | 2.765 | 458 |
| 33.0 | 2.716 | 648 |
| 37.8 | 2.380 | 531 |
| 43.2 | 2.092 | 479 |

Cell and atoms:
a = 7.020 Å, b = 7.020 Å, c = 12.453 Å
α = 93.37°, β = 93.37°, γ = 83.54°
Positions (direct):
K (0.075, 0.713, 0.957)
K (0.166, 0.467, 0.657)
K (0.287, 0.925, 0.543)
K (0.467, 0.166, 0.157)
K (0.533, 0.834, 0.843)
K (0.713, 0.075, 0.457)
K (0.834, 0.533, 0.343)
K (0.925, 0.287, 0.043)
U (0.300, 0.700, 0.250)
U (0.700, 0.300, 0.750)
C (0.010, 0.990, 0.750)
C (0.332, 0.419, 0.414)
C (0.419, 0.332, 0.914)
C (0.581, 0.668, 0.086)
C (0.668, 0.581, 0.586)
C (0.990, 0.010, 0.250)
O (0.024, 0.891, 0.329)
O (0.109, 0.976, 0.171)
O (0.136, 0.541, 0.179)
O (0.146, 0.854, 0.750)
O (0.213, 0.579, 0.420)
O (0.282, 0.326, 0.974)
O (0.326, 0.282, 0.474)
O (0.416, 0.455, 0.837)
O (0.421, 0.787, 0.080)
O (0.455, 0.416, 0.337)
O (0.459, 0.864, 0.321)
O (0.541, 0.136, 0.679)
O (0.545, 0.584, 0.663)
O (0.579, 0.213, 0.920)
O (0.584, 0.545, 0.163)
O (0.674, 0.718, 0.526)
O (0.718, 0.674, 0.026)
O (0.787, 0.421, 0.580)
O (0.854, 0.146, 0.250)
O (0.864, 0.459, 0.821)
O (0.891, 0.024, 0.829)
O (0.976, 0.109, 0.671)

---

No. 2
Diffraction record for AlTeH6C2Br3. The powder diffraction line list is calculated, not measured: it uses a structure optimized by DFT (GGA-PBE) and Cu Kα, 1.54184 Å.
Neutral-atom scattering factors, no anomalous dispersion.

Most intense lines, 15 to 90 degrees two-theta, in order of rising 2θ:
| 2theta | d [Å] | intensity |
| --- | --- | --- |
| 15.7 | 5.628 | 337 |
| 21.2 | 4.184 | 845 |
| 24.0 | 3.705 | 620 |
| 25.0 | 3.563 | 611 |
| 26.9 | 3.320 | 347 |
| 27.5 | 3.239 | 505 |
| 27.7 | 3.218 | 1000 |
| 29.8 | 2.997 | 423 |
| 47.8 | 1.902 | 488 |
| 48.6 | 1.875 | 313 |

Cell and atoms:
a = 6.963 Å, b = 14.250 Å, c = 11.256 Å
α = 90.00°, β = 90.00°, γ = 90.00°
Positions (direct):
Al (0.051, 0.054, 0.250)
Al (0.051, 0.446, 0.750)
Al (0.949, 0.554, 0.250)
Al (0.949, 0.946, 0.750)
Te (0.134, 0.635, 0.750)
Te (0.134, 0.865, 0.250)
Te (0.866, 0.135, 0.750)
Te (0.866, 0.365, 0.250)
H (0.264, 0.643, 0.526)
H (0.264, 0.643, 0.974)
H (0.264, 0.857, 0.026)
H (0.264, 0.857, 0.474)
H (0.423, 0.706, 0.624)
H (0.423, 0.706, 0.876)
H (0.423, 0.794, 0.124)
H (0.423, 0.794, 0.376)
H (0.438, 0.580, 0.613)
H (0.438, 0.580, 0.887)
H (0.438, 0.920, 0.113)
H (0.438, 0.920, 0.387)
H (0.562, 0.080, 0.613)
H (0.562, 0.080, 0.887)
H (0.562, 0.420, 0.113)
H (0.562, 0.420, 0.387)
H (0.577, 0.206, 0.624)
H (0.577, 0.206, 0.876)
H (0.577, 0.294, 0.124)
H (0.577, 0.294, 0.376)
H (0.736, 0.143, 0.526)
H (0.736, 0.143, 0.974)
H (0.736, 0.357, 0.026)
H (0.736, 0.357, 0.474)
C (0.344, 0.641, 0.610)
C (0.344, 0.641, 0.890)
C (0.344, 0.859, 0.110)
C (0.344, 0.859, 0.390)
C (0.656, 0.141, 0.610)
C (0.656, 0.141, 0.890)
C (0.656, 0.359, 0.110)
C (0.656, 0.359, 0.390)
Br (0.179, 0.116, 0.078)
Br (0.179, 0.116, 0.422)
Br (0.179, 0.384, 0.578)
Br (0.179, 0.384, 0.922)
Br (0.281, 0.568, 0.250)
Br (0.281, 0.932, 0.750)
Br (0.719, 0.068, 0.250)
Br (0.719, 0.432, 0.750)
Br (0.821, 0.616, 0.078)
Br (0.821, 0.616, 0.422)
Br (0.821, 0.884, 0.578)
Br (0.821, 0.884, 0.922)